(1)
This entry pairs a crystal structure of Pm2HIr with its simulated powder X-ray diffraction pattern. Radiation: Cu Ka. Structure: the GGA-PBE geometry in Alexandria.

Atomic structure:
```
Pm2HIr
1.0
3.603 0.000 0.000
0.000 3.603 0.000
0.000 0.000 12.550
Pm H Ir
4 2 2
direct
0.000 0.000 0.134
0.000 0.000 0.866
0.500 0.500 0.366
0.500 0.500 0.634
0.000 0.500 0.250
0.500 0.000 0.750
0.000 0.000 0.500
0.500 0.500 0.000
```

Peak list (10 most intense, 5 to 70 degrees two-theta, by angle)
d_spacing	intensity
6.275	24
2.730	100
2.548	52
2.361	9
2.060	27
1.801	19
1.617	9
1.569	5
1.504	33
1.356	14

---

(2)
This entry pairs a crystal structure of Tb2AsS6 with its simulated powder X-ray diffraction pattern. Radiation: Cu Ka. Structure: the GGA-PBE geometry in Alexandria.

Atomic structure:
```
Tb2AsS6
1.0
6.119 0.000 0.000
0.000 6.119 0.000
0.000 0.000 11.931
Tb As S
4 2 12
direct
0.000 0.000 0.164
0.000 0.000 0.836
0.500 0.500 0.336
0.500 0.500 0.664
0.000 0.000 0.500
0.500 0.500 0.000
0.184 0.184 0.350
0.184 0.184 0.650
0.220 0.220 0.000
0.280 0.720 0.500
0.316 0.684 0.150
0.316 0.684 0.850
0.684 0.316 0.150
0.684 0.316 0.850
0.720 0.280 0.500
0.780 0.780 0.000
0.816 0.816 0.350
0.816 0.816 0.650
```

Peak list (10 most intense, 5 to 70 degrees two-theta, by angle)
d_spacing	intensity
4.327	100
3.335	64
3.059	13
2.928	13
2.254	78
2.163	23
1.935	15
1.815	31
1.807	18
1.390	13

---

(3)
This entry pairs a crystal structure of GePb2O4 with its simulated powder X-ray diffraction pattern. Radiation: Cu Ka. Structure: the GGA-PBE geometry in Alexandria.

Atomic structure:
```
GePb2O4
1.0
8.646 0.000 0.000
0.000 8.646 0.000
0.000 0.000 6.412
Ge Pb O
4 8 16
direct
0.250 0.250 0.074
0.250 0.250 0.574
0.750 0.750 0.426
0.750 0.750 0.926
0.090 0.590 0.250
0.090 0.910 0.750
0.410 0.590 0.750
0.410 0.910 0.250
0.590 0.090 0.750
0.590 0.410 0.250
0.910 0.090 0.250
0.910 0.410 0.750
0.061 0.154 0.584
0.061 0.346 0.084
0.154 0.061 0.084
0.154 0.439 0.584
0.346 0.061 0.584
0.346 0.439 0.084
0.439 0.154 0.084
0.439 0.346 0.584
0.561 0.654 0.416
0.561 0.846 0.916
0.654 0.561 0.916
0.654 0.939 0.416
0.846 0.561 0.416
0.846 0.939 0.916
0.939 0.654 0.916
0.939 0.846 0.416
```

Peak list (10 most intense, 5 to 70 degrees two-theta, by angle)
d_spacing	intensity
3.311	100
3.206	13
2.839	11
2.734	23
2.575	13
2.080	11
1.993	22
1.870	24
1.720	18
1.557	15

---

(4)
This entry pairs a crystal structure of Tm3Si2Ni3 with its simulated powder X-ray diffraction pattern. Radiation: Cu Ka. Structure: the GGA-PBE geometry in Alexandria.

Atomic structure:
```
Tm3Si2Ni3
1.0
7.190 0.000 0.000
0.000 14.262 0.000
0.000 0.000 5.460
Tm Si Ni
12 8 12
direct
0.027 0.108 0.144
0.027 0.392 0.144
0.164 0.250 0.617
0.336 0.750 0.117
0.473 0.608 0.644
0.473 0.892 0.644
0.527 0.108 0.356
0.527 0.392 0.356
0.664 0.250 0.883
0.836 0.750 0.383
0.973 0.608 0.856
0.973 0.892 0.856
0.127 0.601 0.358
0.127 0.899 0.358
0.373 0.101 0.858
0.373 0.399 0.858
0.627 0.601 0.142
0.627 0.899 0.142
0.873 0.101 0.642
0.873 0.399 0.642
0.167 0.035 0.592
0.167 0.465 0.592
0.187 0.750 0.588
0.313 0.250 0.088
0.333 0.535 0.092
0.333 0.965 0.092
0.667 0.035 0.908
0.667 0.465 0.908
0.687 0.750 0.912
0.813 0.250 0.412
0.833 0.535 0.408
0.833 0.965 0.408
```

Peak list (10 most intense, 5 to 70 degrees two-theta, by angle)
d_spacing	intensity
3.587	58
2.938	45
2.757	83
2.552	41
2.539	38
2.531	100
2.512	71
2.297	47
2.249	51
2.194	65